Entry 1:
For NaLa5Sn3, DFT lattice parameters and positions (PBE) gives the calculated X-ray powder pattern in this record (Cu Kα).

Top 6 peaks for 10 to 90 degrees two-theta, sorted by position:
(hkl)	2theta	d_spacing	I/Imax
3 0 0	31.4	2.845	100.0
1 1 2	31.9	2.805	80.7
2 2 2	45.4	1.997	29.6
3 3 0	56.0	1.642	19.0
4 1 2	56.3	1.635	30.5
3 0 4	63.6	1.463	26.7

Cell and atoms:
a = 9.8549 Å, b = 9.8549 Å, c = 6.8230 Å
α = 90.00°, β = 90.00°, γ = 120.00°
Space group P6_3/mcm (No. 193)
One atom of each set of equivalent atoms:
Na 0.0000 0.0000 0.0000
La 0.0000 0.3184 0.2500
La 0.3333 0.6667 0.0000
Sn 0.0000 0.3469 0.7500

Entry 2:
For TmSi3Tc3, DFT lattice parameters and positions (PBE) gives the calculated X-ray powder pattern in this record (Cu Kα).

Top 6 peaks for 10 to 90 degrees two-theta, sorted by position:
(hkl)	2theta	d_spacing	I/Imax
2 0 0	27.2	3.276	43.2
2 1 0	30.5	2.930	30.1
2 1 1	33.5	2.675	100.0
3 2 1	52.2	1.751	56.2
4 0 0	56.2	1.638	19.5
5 2 1	80.3	1.196	16.0

Cell and atoms:
a = 6.551 Å, b = 6.551 Å, c = 6.551 Å
α = 90.00°, β = 90.00°, γ = 90.00°
Space group Pm-3n (No. 223)
One atom of each set of equivalent atoms:
Tm 0.000 0.000 0.000
Si 0.000 0.250 0.500
Tc 0.000 0.500 0.250